Diffraction record for MgAlCr3FeO8. The X-ray powder pattern is calculated, not measured: it uses DFT lattice parameters and positions (GGA+U) and Cu Kα (weighted mean of Kα1 and Kα2).

Atomic structure:
```
MgAlCr3FeO8
1.0
2.997 1.731 4.827
-2.997 1.731 4.827
0.000 -3.461 4.827
Mg Al Cr Fe O
1 1 3 1 8
Direct
0.000 0.000 0.000 Mg
0.375 0.375 0.375 Al
0.375 0.375 0.876 Cr
0.375 0.876 0.375 Cr
0.876 0.375 0.375 Cr
0.752 0.752 0.752 Fe
0.137 0.137 0.137 O
0.144 0.144 0.589 O
0.144 0.589 0.144 O
0.166 0.606 0.606 O
0.589 0.144 0.144 O
0.606 0.166 0.606 O
0.606 0.606 0.166 O
0.613 0.613 0.613 O
```

Top 8 peaks for 2θ = 15–90°, sorted by position:
| two_theta | Rel. int. |
| --- | --- |
| 30.09 | 53.0 |
| 35.12 | 100.0 |
| 35.25 | 95.6 |
| 35.49 | 51.3 |
| 42.87 | 72.9 |
| 56.66 | 39.8 |
| 61.91 | 61.1 |
| 62.56 | 60.4 |